RbTl6Pb6: theoretical powder diffractogram (a wavelength of 1.5418 Å), based on the PBE geometry in Alexandria.
No peak broadening, texture or thermal motion is included.

Main lines, low angle first (10° ≤ 2θ ≤ 90°):
2θ = 26.43°, I 29
2θ = 30.61°, I 45
2θ = 30.95°, I 72
2θ = 31.96°, I 24
2θ = 34.64°, I 100
2θ = 35.56°, I 40
2θ = 49.57°, I 20
2θ = 52.81°, I 27
2θ = 54.37°, I 22
2θ = 56.34°, I 23

Structural model:
abc: 6.750 6.750 11.199
angles: 90.00 90.00 120.14
Fractional coordinates of all 13 atoms:
Rb: 0.000 0.000 0.000
Tl: 0.000 0.000 0.356
Tl: 0.000 0.000 0.644
Tl: 0.330 0.670 0.000
Tl: 0.337 0.663 0.500
Tl: 0.663 0.337 0.500
Tl: 0.670 0.330 0.000
Pb: 0.000 0.500 0.248
Pb: 0.000 0.500 0.752
Pb: 0.500 0.000 0.248
Pb: 0.500 0.000 0.752
Pb: 0.500 0.500 0.244
Pb: 0.500 0.500 0.756


RbTl2ZnPb: theoretical powder diffractogram (a wavelength of 1.5418 Å), based on the PBE geometry in Alexandria.
No peak broadening, texture or thermal motion is included.

Main lines, low angle first (10° ≤ 2θ ≤ 90°):
2θ = 15.85°, I 17
2θ = 27.52°, I 100
2θ = 31.60°, I 27
2θ = 32.02°, I 52
2θ = 45.60°, I 39
2θ = 45.91°, I 19
2θ = 53.82°, I 16
2θ = 54.36°, I 31
2θ = 56.80°, I 21
2θ = 84.77°, I 14

Structural model:
abc: 5.591 5.591 5.663
angles: 90.00 90.00 90.00
Fractional coordinates of all 5 atoms:
Rb: 0.000 0.000 0.000
Tl: 0.000 0.500 0.500
Tl: 0.500 0.000 0.500
Zn: 0.500 0.500 0.500
Pb: 0.500 0.500 0.000


RbYPb: theoretical powder diffractogram (a wavelength of 1.5418 Å), based on the PBE geometry in Alexandria.
No peak broadening, texture or thermal motion is included.

Main lines, low angle first (10° ≤ 2θ ≤ 90°):
2θ = 19.64°, I 40
2θ = 25.55°, I 50
2θ = 25.93°, I 21
2θ = 28.98°, I 49
2θ = 31.08°, I 100
2θ = 32.09°, I 24
2θ = 34.32°, I 91
2θ = 38.46°, I 23
2θ = 39.34°, I 25
2θ = 41.40°, I 22

Structural model:
abc: 4.362 4.580 14.293
angles: 80.89 81.31 89.99
Fractional coordinates of all 6 atoms:
Rb: 0.000 0.000 0.000
Rb: 0.355 0.355 0.296
Y: 0.121 0.628 0.748
Y: 0.719 0.726 0.550
Pb: 0.215 0.222 0.558
Pb: 0.617 0.124 0.757


Rb2ZnPb2: theoretical powder diffractogram (a wavelength of 1.5418 Å), based on the PBE geometry in Alexandria.
No peak broadening, texture or thermal motion is included.

Main lines, low angle first (10° ≤ 2θ ≤ 90°):
2θ = 14.22°, I 29
2θ = 18.04°, I 62
2θ = 26.10°, I 82
2θ = 27.22°, I 26
2θ = 27.41°, I 100
2θ = 31.48°, I 43
2θ = 32.10°, I 66
2θ = 34.03°, I 30
2θ = 35.00°, I 40
2θ = 45.58°, I 31

Structural model:
abc: 6.853 6.853 12.211
angles: 112.53 112.53 48.02
Fractional coordinates of all 10 atoms:
Rb: 0.094 0.094 0.382
Rb: 0.328 0.328 0.816
Rb: 0.672 0.672 0.184
Rb: 0.906 0.906 0.618
Zn: 0.356 0.356 0.135
Zn: 0.644 0.644 0.865
Pb: 0.107 0.107 0.956
Pb: 0.396 0.396 0.384
Pb: 0.604 0.604 0.616
Pb: 0.893 0.893 0.044


RePb8: theoretical powder diffractogram (a wavelength of 1.5418 Å), based on the PBE geometry in Alexandria.
No peak broadening, texture or thermal motion is included.

Main lines, low angle first (10° ≤ 2θ ≤ 90°):
2θ = 31.93°, I 100
2θ = 36.54°, I 19
2θ = 37.28°, I 31
2θ = 53.19°, I 22
2θ = 53.74°, I 9
2θ = 62.90°, I 15
2θ = 63.88°, I 23
2θ = 66.74°, I 10
2θ = 77.68°, I 9
2θ = 87.30°, I 9

Structural model:
abc: 7.643 7.643 7.643
angles: 95.94 95.94 142.46
Fractional coordinates of all 9 atoms:
Re: 0.000 0.000 0.000
Pb: 0.000 0.306 0.306
Pb: 0.000 0.694 0.694
Pb: 0.306 0.000 0.306
Pb: 0.346 0.346 0.693
Pb: 0.346 0.654 0.000
Pb: 0.654 0.346 0.000
Pb: 0.654 0.654 0.307
Pb: 0.694 0.000 0.694


RePb7: theoretical powder diffractogram (a wavelength of 1.5418 Å), based on the PBE geometry in Alexandria.
No peak broadening, texture or thermal motion is included.

Main lines, low angle first (10° ≤ 2θ ≤ 90°):
2θ = 31.92°, I 100
2θ = 37.02°, I 51
2θ = 53.36°, I 36
2θ = 63.54°, I 43
2θ = 66.73°, I 13
2θ = 78.84°, I 6
2θ = 87.58°, I 19

Structural model:
abc: 6.868 6.868 6.868
angles: 60.00 60.00 60.00
Fractional coordinates of all 8 atoms:
Re: 0.000 0.000 0.000
Pb: 0.000 0.000 0.500
Pb: 0.000 0.500 0.000
Pb: 0.000 0.500 0.500
Pb: 0.500 0.000 0.000
Pb: 0.500 0.000 0.500
Pb: 0.500 0.500 0.000
Pb: 0.500 0.500 0.500


Please write out number 3 again, unchanged.
RbYPb: theoretical powder diffractogram (a wavelength of 1.5418 Å), based on the PBE geometry in Alexandria.
No peak broadening, texture or thermal motion is included.

Main lines, low angle first (10° ≤ 2θ ≤ 90°):
2θ = 19.64°, I 40
2θ = 25.55°, I 50
2θ = 25.93°, I 21
2θ = 28.98°, I 49
2θ = 31.08°, I 100
2θ = 32.09°, I 24
2θ = 34.32°, I 91
2θ = 38.46°, I 23
2θ = 39.34°, I 25
2θ = 41.40°, I 22

Structural model:
abc: 4.362 4.580 14.293
angles: 80.89 81.31 89.99
Fractional coordinates of all 6 atoms:
Rb: 0.000 0.000 0.000
Rb: 0.355 0.355 0.296
Y: 0.121 0.628 0.748
Y: 0.719 0.726 0.550
Pb: 0.215 0.222 0.558
Pb: 0.617 0.124 0.757